1.
Diffraction record for USi2Rh. The XRD peak list is computed, not measured: it uses a cell relaxed with GGA-PBE and Cu Kα (weighted mean of Kα1 and Kα2).
Peak positions follow from Bragg's law for the DFT cell and can differ from measured ones.

Structure:
Unit cell a=6.9088 b=3.9900 c=9.8781 alpha=90.00 beta=90.00 gamma=90.00
Space group Pnma (No. 62)
Inequivalent atoms, fractional coordinates:
U  0.1456  0.2500  0.1263 x4
Si  0.1496  0.2500  0.8173 x4
Si  0.2189  0.2500  0.4238 x4
Rh  0.0118  0.7500  0.3915 x4

Most intense lines, 2θ from 10° to 80°, sorted by position:
hkl 1 0 2, 22.12°, intensity 38.9; hkl 2 0 1, 27.35°, intensity 68.5; hkl 1 1 2, 31.60°, intensity 100.0; hkl 2 1 0, 34.34°, intensity 46.7; hkl 0 0 4, 36.38°, intensity 38.7; hkl 2 0 3, 37.74°, intensity 52.5; hkl 3 0 1, 40.21°, intensity 26.0; hkl 2 1 3, 44.27°, intensity 20.4; hkl 0 2 0, 45.46°, intensity 27.7; hkl 2 1 4, 50.89°, intensity 24.2

---

2.
Diffraction record for SiRh2W. The XRD peak list is computed, not measured: it uses a cell relaxed with GGA-PBE and Cu Kα (weighted mean of Kα1 and Kα2).
Peak positions follow from Bragg's law for the DFT cell and can differ from measured ones.

Structure:
Unit cell a=2.8731 b=2.8731 c=6.8695 alpha=90.00 beta=90.00 gamma=90.00
Space group P4mm (No. 99)
Inequivalent atoms, fractional coordinates:
Si  0.0000  0.0000  0.0000 x1
Rh  0.0000  0.0000  0.5048 x1
Rh  0.5000  0.5000  0.8078 x1
W  0.5000  0.5000  0.2539 x1

Most intense lines, 2θ from 10° to 80°, sorted by position:
hkl 0 0 1, 12.89°, intensity 19.2; hkl 0 0 2, 25.94°, intensity 10.7; hkl 1 0 0, 31.13°, intensity 14.9; hkl 1 0 1, 33.82°, intensity 20.3; hkl 1 0 2, 40.95°, intensity 100.0; hkl 1 1 0, 44.60°, intensity 42.7; hkl 0 0 4, 53.35°, intensity 8.9; hkl 2 0 0, 64.91°, intensity 13.8; hkl 1 1 4, 72.00°, intensity 14.4; hkl 2 1 2, 79.67°, intensity 28.4

---

3.
Diffraction record for Y3Si2Rh5. The XRD peak list is computed, not measured: it uses a cell relaxed with GGA-PBE and Cu Kα (weighted mean of Kα1 and Kα2).
Peak positions follow from Bragg's law for the DFT cell and can differ from measured ones.

Structure:
Unit cell a=10.0033 b=10.0033 c=3.5407 alpha=90.00 beta=90.00 gamma=90.00
Space group P4/mbm (No. 127)
Inequivalent atoms, fractional coordinates:
Y  0.0000  0.0000  0.0000 x2
Y  0.1741  0.3259  0.0000 x4
Si  0.1226  0.6226  0.0000 x4
Rh  0.0000  0.5000  0.5000 x2
Rh  0.0701  0.7772  0.5000 x8

Most intense lines, 2θ from 10° to 80°, sorted by position:
hkl 2 1 1, 32.25°, intensity 56.0; hkl 2 2 1, 35.89°, intensity 38.1; hkl 4 1 0, 37.05°, intensity 54.8; hkl 3 1 1, 38.15°, intensity 100.0; hkl 4 2 0, 40.32°, intensity 34.5; hkl 3 2 1, 41.34°, intensity 34.7; hkl 0 0 2, 51.64°, intensity 24.6; hkl 4 1 2, 65.26°, intensity 36.0; hkl 4 2 2, 67.47°, intensity 14.5; hkl 7 1 1, 71.86°, intensity 15.9

---

4.
Diffraction record for Y2Si4Rh3. The XRD peak list is computed, not measured: it uses a cell relaxed with GGA-PBE and Cu Kα (weighted mean of Kα1 and Kα2).
Peak positions follow from Bragg's law for the DFT cell and can differ from measured ones.

Structure:
Unit cell a=5.6021 b=14.7116 c=7.1650 alpha=90.00 beta=90.00 gamma=90.00
Space group Cmce (No. 64)
Inequivalent atoms, fractional coordinates:
Y  0.0000  0.1061  0.0954 x8
Si  0.0000  0.1804  0.4783 x8
Si  0.2500  0.0633  0.7500 x8
Rh  0.0000  0.0000  0.5000 x4
Rh  0.2500  0.2290  0.7500 x8

Most intense lines, 2θ from 10° to 80°, sorted by position:
hkl 1 3 1, 27.20°, intensity 38.5; hkl 0 2 2, 27.70°, intensity 69.3; hkl 2 2 0, 34.26°, intensity 48.4; hkl 1 3 2, 34.92°, intensity 42.5; hkl 2 2 1, 36.55°, intensity 43.1; hkl 1 5 1, 36.71°, intensity 100.0; hkl 0 6 1, 38.82°, intensity 31.1; hkl 0 2 3, 39.68°, intensity 34.1; hkl 2 0 2, 40.90°, intensity 94.5; hkl 2 6 4, 73.73°, intensity 31.8

---

5.
Diffraction record for YSi2Rh3. The XRD peak list is computed, not measured: it uses a cell relaxed with GGA-PBE and Cu Kα (weighted mean of Kα1 and Kα2).
Peak positions follow from Bragg's law for the DFT cell and can differ from measured ones.

Structure:
Unit cell a=7.1884 b=9.6393 c=5.5600 alpha=90.00 beta=90.00 gamma=90.00
Space group Imma (No. 74)
Inequivalent atoms, fractional coordinates:
Y  0.0000  0.2500  0.2099 x4
Si  0.0000  0.0785  0.6956 x8
Rh  0.2151  0.0000  0.0000 x8
Rh  0.2500  0.2500  0.7500 x4

Most intense lines, 2θ from 10° to 80°, sorted by position:
hkl 2 0 0, 24.77°, intensity 15.2; hkl 2 1 1, 31.04°, intensity 60.2; hkl 0 4 0, 37.33°, intensity 100.0; hkl 2 3 1, 41.03°, intensity 64.9; hkl 2 2 2, 45.32°, intensity 59.9; hkl 4 0 0, 50.81°, intensity 14.5; hkl 2 5 1, 56.67°, intensity 22.4; hkl 2 6 0, 63.45°, intensity 14.9; hkl 4 4 0, 64.72°, intensity 24.7; hkl 0 6 2, 67.31°, intensity 18.5

---

6.
Diffraction record for YSi7Rh3. The XRD peak list is computed, not measured: it uses a cell relaxed with GGA-PBE and Cu Kα (weighted mean of Kα1 and Kα2).
Peak positions follow from Bragg's law for the DFT cell and can differ from measured ones.

Structure:
Unit cell a=7.6304 b=7.6304 c=20.0046 alpha=90.00 beta=90.00 gamma=120.00
Space group R-3c (No. 167, hexagonal axes)
Inequivalent atoms, fractional coordinates:
Y  0.0000  0.0000  0.0000 x6
Si  0.0000  0.0000  0.2500 x6
Si  0.0117  0.2025  0.1370 x36
Rh  0.0000  0.3196  0.2500 x18

Most intense lines, 2θ from 10° to 80°, sorted by position:
hkl 1 1 3, 26.92°, intensity 100.0; hkl 1 1 6, 35.77°, intensity 40.0; hkl 0 1 8, 38.49°, intensity 15.9; hkl 2 1 4, 40.37°, intensity 20.1; hkl 3 0 0, 40.97°, intensity 44.1; hkl 1 1 9, 47.33°, intensity 44.9; hkl 0 3 6, 49.60°, intensity 23.5; hkl 2 2 3, 49.71°, intensity 36.2; hkl 4 1 3, 66.32°, intensity 18.5; hkl 3 0 12, 70.89°, intensity 22.8

---

7.
Diffraction record for Y4Si5Rh9. The XRD peak list is computed, not measured: it uses a cell relaxed with GGA-PBE and Cu Kα (weighted mean of Kα1 and Kα2).
Peak positions follow from Bragg's law for the DFT cell and can differ from measured ones.

Structure:
Unit cell a=9.6029 b=5.5413 c=11.6862 alpha=90.00 beta=105.88 gamma=90.00
Space group C2/m (No. 12)
Inequivalent atoms, fractional coordinates:
Y  0.0513  0.0000  0.1528 x4
Y  0.1485  0.0000  0.4451 x4
Si  0.0000  0.5000  0.5000 x2
Si  0.1129  0.5000  0.8350 x4
Si  0.2226  0.5000  0.1651 x4
Rh  0.0000  0.5000  0.0000 x2
Rh  0.1078  0.5000  0.3239 x4
Rh  0.1410  0.2506  0.6743 x8
Rh  0.2500  0.2500  0.0000 x4

Most intense lines, 2θ from 10° to 80°, sorted by position:
hkl 0 0 3, 23.75°, intensity 30.7; hkl 1 1 3, 32.45°, intensity 47.5; hkl 1 1 -4, 34.72°, intensity 25.2; hkl 4 0 -1, 37.57°, intensity 100.0; hkl 4 0 -2, 37.86°, intensity 26.7; hkl 0 2 3, 40.49°, intensity 83.2; hkl 2 2 2, 43.39°, intensity 35.9; hkl 6 0 1, 63.19°, intensity 21.6; hkl 4 0 5, 65.40°, intensity 21.7; hkl 0 4 0, 67.61°, intensity 35.7

---

8.
Diffraction record for Y3Si2Rh. The XRD peak list is computed, not measured: it uses a cell relaxed with GGA-PBE and Cu Kα (weighted mean of Kα1 and Kα2).
Peak positions follow from Bragg's law for the DFT cell and can differ from measured ones.

Structure:
Unit cell a=11.5483 b=4.1821 c=11.2479 alpha=90.00 beta=90.00 gamma=90.00
Space group Pnma (No. 62)
Inequivalent atoms, fractional coordinates:
Y  0.0557  0.2500  0.1254 x4
Y  0.1206  0.7500  0.5578 x4
Y  0.2155  0.2500  0.8021 x4
Si  0.0178  0.7500  0.3128 x4
Si  0.1924  0.7500  0.9985 x4
Rh  0.1303  0.2500  0.3677 x4

Most intense lines, 2θ from 10° to 80°, sorted by position:
hkl 1 0 1, 10.98°, intensity 28.8; hkl 2 1 1, 27.50°, intensity 31.9; hkl 2 1 2, 30.82°, intensity 37.6; hkl 0 1 3, 32.05°, intensity 100.0; hkl 1 0 4, 32.78°, intensity 28.2; hkl 3 1 2, 35.49°, intensity 89.9; hkl 4 1 1, 38.74°, intensity 41.9; hkl 2 1 4, 41.75°, intensity 35.4; hkl 2 0 5, 43.16°, intensity 23.5; hkl 0 2 0, 43.27°, intensity 45.4